Simulated powder X-ray diffraction pattern of Nd8BiTe4As3 for Cu Kα, from a DFT-relaxed cell (PBE, Alexandria).

Cell and atoms:
Cell: 8.8162 8.8162 22.0210 Å, 90.00 90.00 120.00°
Space group R-3m (No. 166, hexagonal axes)
Asymmetric unit:
Nd 0.0000 0.0000 0.2401 x6
Nd 0.0143 0.5071 0.7573 x18
Bi 0.0000 0.0000 0.5000 x3
Te 0.0000 0.0000 0.0000 x3
Te 0.0000 0.5000 0.0000 x9
As 0.0000 0.5000 0.5000 x9

Peak list (8 most intense, 10 to 90 degrees two-theta, sorted by position)
d [Å]  2θ/deg  I (rel.)  h k l
3.137  28.45  100  0 2 4
2.233  40.40  36  2 0 8
2.204  40.95  38  2 2 0
1.803  50.61  20  4 0 4
1.569  58.88  12  0 4 8
1.410  66.27  15  2 2 12
1.396  67.05  17  2 4 4
1.278  74.20  12  4 2 8

---

Simulated powder X-ray diffraction pattern of GeBMo3 for Cu Kα, from a DFT-relaxed cell (PBE, Alexandria).

Cell and atoms:
Cell: 6.527 9.594 4.548 Å, 90.00 90.00 90.00°
Space group Cmcm (No. 63)
Asymmetric unit:
Ge 0.000 0.135 0.250 x4
B 0.000 0.500 0.000 x4
Mo 0.000 0.307 0.750 x4
Mo 0.249 0.398 0.250 x8

Peak list (8 most intense, 10 to 90 degrees two-theta, sorted by position)
d [Å]  2θ/deg  I (rel.)  h k l
2.698  33.20  12  2 2 0
2.398  37.50  12  0 4 0
2.320  38.81  100  2 2 1
2.274  39.64  29  0 0 2
2.121  42.62  18  0 4 1
1.632  56.39  11  4 0 0
1.326  71.12  10  4 0 2
1.322  71.37  16  2 2 3

---

Simulated powder X-ray diffraction pattern of AcTb5Dy3 for Cu Kα, from a DFT-relaxed cell (PBE, Alexandria).

Cell and atoms:
Cell: 15.244 9.831 9.053 Å, 90.00 118.85 90.00°
Space group C2/c (No. 15)
Asymmetric unit:
Ac 0.000 0.071 0.250 x4
Tb 0.000 0.419 0.250 x4
Tb 0.162 0.409 0.074 x8
Tb 0.179 0.082 0.101 x8
Dy 0.085 0.259 0.667 x8
Dy 0.250 0.250 0.500 x4

Peak list (8 most intense, 10 to 90 degrees two-theta, sorted by position)
d [Å]  2θ/deg  I (rel.)  h k l
2.876  31.10  32  5 1 -1
2.862  31.26  100  2 0 2
2.843  31.47  70  1 3 1
2.027  44.70  12  6 2 0
2.018  44.93  23  2 2 -4
1.649  55.74  12  1 1 -5
1.646  55.85  25  3 3 3
1.496  62.02  17  6 0 -6

---

Simulated powder X-ray diffraction pattern of Sr3Li4In4 for Cu Kα, from a DFT-relaxed cell (PBE, Alexandria).

Cell and atoms:
Cell: 8.461 8.461 8.461 Å, 90.00 90.00 90.00°
Space group I-43m (No. 217)
Asymmetric unit:
Sr 0.000 0.000 0.500 x6
Li 0.116 0.116 0.116 x8
In 0.205 0.205 0.795 x8

Peak list (8 most intense, 10 to 90 degrees two-theta, sorted by position)
d [Å]  2θ/deg  I (rel.)  h k l
3.454  25.79  50  2 1 1
2.991  29.87  100  2 2 0
2.676  33.49  15  3 1 0
2.261  39.87  15  3 2 1
1.994  45.48  30  4 1 1
1.727  53.02  20  4 2 2
1.659  55.37  16  4 3 1
1.373  68.34  14  6 1 1

---

Simulated powder X-ray diffraction pattern of TbTmCO for Cu Kα, from a DFT-relaxed cell (PBE, Alexandria).

Cell and atoms:
Cell: 3.123 3.263 11.882 Å, 90.00 90.00 90.00°
Space group Imm2 (No. 44)
Asymmetric unit:
Tb 0.000 0.000 0.000 x2
Tm 0.000 0.500 0.253 x2
C 0.000 0.500 0.844 x2
O 0.000 0.000 0.594 x2

Peak list (8 most intense, 10 to 90 degrees two-theta, sorted by position)
d [Å]  2θ/deg  I (rel.)  h k l
3.147  28.36  64  0 1 1
3.020  29.58  52  1 0 1
2.971  30.08  54  0 0 4
2.519  35.65  36  0 1 3
2.452  36.65  41  1 0 3
2.109  42.88  100  1 1 2
1.921  47.32  22  0 1 5
1.488  62.39  27  1 1 6

---

Simulated powder X-ray diffraction pattern of LiFe2Ni6 for Cu Kα, from a DFT-relaxed cell (PBE, Alexandria).

Cell and atoms:
Cell: 7.293 4.921 6.053 Å, 90.00 107.29 90.00°
Space group C2/m (No. 12)
Asymmetric unit:
Li 0.000 0.000 0.000 x2
Fe 0.170 0.500 0.086 x4
Ni 0.054 0.261 0.707 x8
Ni 0.239 0.000 0.487 x4

Peak list (8 most intense, 10 to 90 degrees two-theta, sorted by position)
d [Å]  2θ/deg  I (rel.)  h k l
5.780  15.33  25  0 0 1
3.602  24.72  14  1 1 -1
2.009  45.14  100  2 2 0
1.956  46.42  42  2 0 2
1.949  46.61  42  2 0 -3
1.874  48.60  50  0 2 2
1.823  50.03  36  4 0 -1
1.305  72.43  16  4 2 -3

---

Simulated powder X-ray diffraction pattern of LaNdAsO2 for Cu Kα, from a DFT-relaxed cell (PBE, Alexandria).

Cell and atoms:
Cell: 3.967 3.967 13.451 Å, 90.00 90.00 90.00°
Space group I4mm (No. 107)
Asymmetric unit:
La 0.000 0.000 0.000 x2
Nd 0.000 0.000 0.684 x2
As 0.000 0.000 0.340 x2
O 0.000 0.500 0.093 x4

Peak list (8 most intense, 10 to 90 degrees two-theta, sorted by position)
d [Å]  2θ/deg  I (rel.)  h k l
2.971  30.08  100  1 0 3
2.805  31.90  36  1 1 0
1.984  45.74  19  2 0 0
1.751  52.23  23  1 1 6
1.650  55.71  35  2 1 3
1.486  62.52  10  2 0 6
1.143  84.82  9  2 1 9
1.095  89.52  10  3 1 6

---

Simulated powder X-ray diffraction pattern of DyY6In3 for Cu Kα, from a DFT-relaxed cell (PBE, Alexandria).

Cell and atoms:
Cell: 10.662 15.373 7.623 Å, 90.00 90.00 90.00°
Space group Cmc2_1 (No. 36)
Asymmetric unit:
Dy 0.000 0.202 0.000 x4
Y 0.000 0.045 0.295 x4
Y 0.000 0.298 0.448 x4
Y 0.229 0.466 0.477 x8
Y 0.234 0.311 0.792 x8
In 0.000 0.442 0.762 x4
In 0.144 0.132 0.650 x8

Peak list (8 most intense, 10 to 90 degrees two-theta, sorted by position)
d [Å]  2θ/deg  I (rel.)  h k l
3.153  28.31  21  3 1 1
2.886  30.99  98  2 4 1
2.875  31.10  100  2 2 2
2.429  37.01  35  0 6 1
2.413  37.27  36  0 2 3
2.391  37.62  35  4 2 1
1.577  58.52  26  6 4 1
1.494  62.12  26  4 6 3